1.
Theoretical powder XRD pattern of LiEr2Au for copper Kα, from a structure optimized by DFT (PBE).
Lines closer than 0.1° are merged.

Largest 10 diffraction maxima, by angle, 2θ from 10° to 90°:
2θ 21.51, I 30
2θ 24.88, I 7
2θ 35.48, I 100
2θ 41.86, I 17
2θ 51.05, I 18
2θ 56.01, I 7
2θ 63.70, I 37
2θ 75.09, I 12
2θ 79.18, I 5
2θ 85.89, I 17

Structural model:
Cell lengths 5.061, 5.061, 5.061 Å; angles 60.00, 60.00, 60.00 degrees
Fractional positions:
Li: 0.000 0.000 0.000
Er: 0.250 0.250 0.250
Er: 0.750 0.750 0.750
Au: 0.500 0.500 0.500

2.
Theoretical powder XRD pattern of Ba5P3ClO12 for copper Kα, from a structure optimized by DFT (PBE).
Lines closer than 0.1° are merged.

Largest 10 diffraction maxima, by angle, 2θ from 10° to 90°:
2θ 20.52, I 21
2θ 26.08, I 27
2θ 28.55, I 89
2θ 28.70, I 100
2θ 29.64, I 56
2θ 41.73, I 38
2θ 43.95, I 28
2θ 45.26, I 23
2θ 46.00, I 22
2θ 46.52, I 24

Structural model:
Cell lengths 10.439, 10.439, 7.747 Å; angles 90.00, 90.00, 120.00 degrees
Fractional positions:
Ba: 0.013 0.753 0.250
Ba: 0.247 0.260 0.250
Ba: 0.260 0.013 0.750
Ba: 0.333 0.667 0.000
Ba: 0.333 0.667 0.500
Ba: 0.667 0.333 0.000
Ba: 0.667 0.333 0.500
Ba: 0.740 0.987 0.250
Ba: 0.753 0.740 0.750
Ba: 0.987 0.247 0.750
P: 0.035 0.628 0.750
P: 0.372 0.406 0.750
P: 0.406 0.035 0.250
P: 0.594 0.965 0.750
P: 0.628 0.594 0.250
P: 0.965 0.372 0.250
Cl: 0.000 0.000 0.000
Cl: 0.000 0.000 0.500
O: 0.085 0.729 0.587
O: 0.085 0.729 0.913
O: 0.117 0.537 0.750
O: 0.136 0.478 0.250
O: 0.271 0.356 0.587
O: 0.271 0.356 0.913
O: 0.341 0.864 0.250
O: 0.356 0.085 0.087
O: 0.356 0.085 0.413
O: 0.420 0.883 0.750
O: 0.463 0.580 0.750
O: 0.478 0.341 0.750
O: 0.522 0.659 0.250
O: 0.537 0.420 0.250
O: 0.580 0.117 0.250
O: 0.644 0.915 0.587
O: 0.644 0.915 0.913
O: 0.659 0.136 0.750
O: 0.729 0.644 0.087
O: 0.729 0.644 0.413
O: 0.864 0.522 0.750
O: 0.883 0.463 0.250
O: 0.915 0.271 0.087
O: 0.915 0.271 0.413

3.
Theoretical powder XRD pattern of Cs3GdCl6 for copper Kα, from a structure optimized by DFT (PBE).
Lines closer than 0.1° are merged.

Largest 10 diffraction maxima, by angle, 2θ from 10° to 90°:
2θ 21.08, I 100
2θ 29.98, I 52
2θ 36.94, I 45
2θ 42.91, I 35
2θ 48.28, I 25
2θ 53.23, I 12
2θ 57.88, I 28
2θ 66.55, I 13
2θ 70.67, I 14
2θ 82.51, I 15

Structural model:
Cell lengths 8.430, 8.430, 8.430 Å; angles 60.00, 60.00, 60.00 degrees
Fractional positions:
Cs: 0.000 0.000 0.000
Cs: 0.250 0.250 0.250
Cs: 0.750 0.750 0.750
Gd: 0.500 0.500 0.500
Cl: 0.276 0.276 0.724
Cl: 0.276 0.724 0.276
Cl: 0.276 0.724 0.724
Cl: 0.724 0.276 0.276
Cl: 0.724 0.276 0.724
Cl: 0.724 0.724 0.276